Structure and theoretical XRD peak list of Ca2AlH8S2ClO12F2 (DFT lattice parameters and positions (GGA-PBE); copper Kα).

Structural model:
Cell: 8.2724 8.2724 8.2724 Å, 130.33 130.33 72.88°
Element x y z (fractional)
Ca: 0.2001 0.2001 0.0000
Ca: 0.7999 0.7999 0.0000
Al: 0.5000 0.5000 0.0000
H: 0.1024 0.5467 0.7714
H: 0.2247 0.6690 0.7714
H: 0.3310 0.1024 0.5557
H: 0.4533 0.2247 0.5557
H: 0.5467 0.7753 0.4443
H: 0.6690 0.8976 0.4443
H: 0.7753 0.3310 0.2286
H: 0.8976 0.4533 0.2286
S: 0.2500 0.7500 0.5000
S: 0.7500 0.2500 0.5000
Cl: 0.0000 0.0000 0.0000
O: 0.1218 0.5215 0.2741
O: 0.1522 0.8782 0.3997
O: 0.2272 0.5568 0.7840
O: 0.2475 0.8478 0.7259
O: 0.4432 0.2272 0.6704
O: 0.4785 0.7525 0.6003
O: 0.5215 0.2475 0.3997
O: 0.5568 0.7728 0.3296
O: 0.7525 0.1522 0.2741
O: 0.7728 0.4432 0.2160
O: 0.8478 0.1218 0.6003
O: 0.8782 0.4785 0.7259
F: 0.3670 0.3670 0.0000
F: 0.6330 0.6330 0.0000

Most intense lines, 15° ≤ 2θ ≤ 90°, sorted by position:
| 2θ/deg | intensity |
| --- | --- |
| 22.49 | 34.2 |
| 23.79 | 22.9 |
| 25.64 | 100.0 |
| 26.79 | 20.0 |
| 28.99 | 18.9 |
| 29.52 | 16.3 |
| 41.08 | 24.8 |
| 44.83 | 24.0 |
| 59.18 | 28.2 |
| 59.49 | 13.7 |